Record 1
Calculated powder diffractogram of PrY4Cd for copper Kα, from a structure optimized by DFT (PBE).
Lines closer than 0.1° are merged.

Top 12 peaks for 15° ≤ 2θ ≤ 90°, in order of rising 2θ:
- 2θ = 31.1°, d 2.880, rel. 100.0
- 2θ = 34.9°, d 2.569, rel. 39.4
- 2θ = 38.1°, d 2.362, rel. 11.1
- 2θ = 50.2°, d 1.817, rel. 13.7
- 2θ = 52.6°, d 1.739, rel. 17.1
- 2θ = 57.9°, d 1.592, rel. 5.8
- 2θ = 60.2°, d 1.536, rel. 28.8
- 2θ = 64.5°, d 1.445, rel. 5.9
- 2θ = 64.7°, d 1.440, rel. 9.0
- 2θ = 82.2°, d 1.173, rel. 5.8
- 2θ = 84.3°, d 1.149, rel. 6.0
- 2θ = 86.0°, d 1.131, rel. 5.3

Crystal structure
Cell: 3.633 3.633 14.172 Å, 90.00 90.00 90.00°
Space group P4/mmm (No. 123)
Unique sites:
Pr (0.000, 0.000, 0.000) x1
Y (0.000, 0.000, 0.358) x2
Y (0.500, 0.500, 0.180) x2
Cd (0.500, 0.500, 0.500) x1

=====

Record 2
Calculated powder diffractogram of Pr2Y5Cd for copper Kα, from a structure optimized by DFT (PBE).
Lines closer than 0.1° are merged.

Top 12 peaks for 15° ≤ 2θ ≤ 90°, in order of rising 2θ:
- 2θ = 30.8°, d 2.901, rel. 100.0
- 2θ = 35.2°, d 2.551, rel. 17.5
- 2θ = 36.0°, d 2.493, rel. 32.7
- 2θ = 51.2°, d 1.783, rel. 23.4
- 2θ = 51.9°, d 1.763, rel. 11.3
- 2θ = 60.4°, d 1.532, rel. 14.1
- 2θ = 61.6°, d 1.507, rel. 26.6
- 2θ = 64.2°, d 1.450, rel. 11.7
- 2θ = 83.6°, d 1.156, rel. 11.1
- 2θ = 84.6°, d 1.145, rel. 5.4
- 2θ = 85.5°, d 1.136, rel. 5.3
- 2θ = 87.0°, d 1.120, rel. 5.1

Crystal structure
Cell: 7.052 7.052 10.204 Å, 90.00 90.00 90.00°
Space group I4/mmm (No. 139)
Unique sites:
Pr (0.000, 0.500, 0.000) x4
Y (0.000, 0.000, 0.000) x2
Y (0.250, 0.250, 0.250) x8
Cd (0.000, 0.000, 0.500) x2

=====

Record 3
Calculated powder diffractogram of PrY2Cd3 for copper Kα, from a structure optimized by DFT (PBE).
Lines closer than 0.1° are merged.

Top 12 peaks for 15° ≤ 2θ ≤ 90°, in order of rising 2θ:
- 2θ = 33.3°, d 2.693, rel. 100.0
- 2θ = 33.6°, d 2.669, rel. 49.2
- 2θ = 47.3°, d 1.922, rel. 8.8
- 2θ = 48.2°, d 1.887, rel. 17.3
- 2θ = 59.3°, d 1.559, rel. 17.6
- 2θ = 59.8°, d 1.547, rel. 17.4
- 2θ = 59.9°, d 1.544, rel. 17.6
- 2θ = 69.9°, d 1.346, rel. 10.5
- 2θ = 78.9°, d 1.213, rel. 7.1
- 2θ = 80.3°, d 1.195, rel. 11.0
- 2θ = 80.6°, d 1.192, rel. 3.8
- 2θ = 89.5°, d 1.095, rel. 2.9

Crystal structure
Cell: 5.330 16.032 7.687 Å, 90.00 90.00 90.00°
Space group Cmmm (No. 65)
Unique sites:
Pr (0.000, 0.166, 0.000) x4
Y (0.000, 0.169, 0.500) x4
Y (0.000, 0.500, 0.000) x2
Y (0.000, 0.500, 0.500) x2
Cd (0.000, 0.000, 0.261) x4
Cd (0.000, 0.337, 0.262) x8

=====

Record 4
Calculated powder diffractogram of Pr3Y2Cd2 for copper Kα, from a structure optimized by DFT (PBE).
Lines closer than 0.1° are merged.

Top 12 peaks for 15° ≤ 2θ ≤ 90°, in order of rising 2θ:
- 2θ = 21.8°, d 4.075, rel. 6.4
- 2θ = 31.7°, d 2.822, rel. 88.7
- 2θ = 32.4°, d 2.765, rel. 100.0
- 2θ = 39.4°, d 2.288, rel. 8.6
- 2θ = 45.9°, d 1.975, rel. 31.2
- 2θ = 56.1°, d 1.641, rel. 14.9
- 2θ = 57.3°, d 1.607, rel. 31.9
- 2θ = 57.7°, d 1.597, rel. 18.6
- 2θ = 66.2°, d 1.411, rel. 5.9
- 2θ = 67.8°, d 1.383, rel. 11.4
- 2θ = 75.7°, d 1.257, rel. 9.7
- 2θ = 76.7°, d 1.242, rel. 10.3

Crystal structure
Cell: 9.574 5.535 8.755 Å, 90.00 111.41 90.00°
Space group C2/m (No. 12)
Unique sites:
Pr (0.000, 0.000, 0.000) x2
Pr (0.159, 0.000, 0.476) x4
Y (0.074, 0.500, 0.722) x4
Cd (0.210, 0.500, 0.131) x4

=====

Record 5
Calculated powder diffractogram of Pr2Y4Cd for copper Kα, from a structure optimized by DFT (PBE).
Lines closer than 0.1° are merged.

Top 12 peaks for 15° ≤ 2θ ≤ 90°, in order of rising 2θ:
- 2θ = 26.8°, d 3.325, rel. 65.7
- 2θ = 30.2°, d 2.958, rel. 35.2
- 2θ = 31.0°, d 2.888, rel. 100.0
- 2θ = 32.2°, d 2.778, rel. 73.8
- 2θ = 32.9°, d 2.720, rel. 69.0
- 2θ = 33.3°, d 2.692, rel. 99.8
- 2θ = 35.9°, d 2.499, rel. 73.5
- 2θ = 38.5°, d 2.340, rel. 26.5
- 2θ = 50.2°, d 1.816, rel. 25.7
- 2θ = 54.5°, d 1.684, rel. 34.0
- 2θ = 54.7°, d 1.677, rel. 25.2
- 2θ = 60.2°, d 1.538, rel. 43.0

Crystal structure
Cell: 17.237 3.632 8.263 Å, 90.00 117.46 90.00°
Space group C2/m (No. 12)
Unique sites:
Pr (0.214, 0.000, 0.133) x4
Y (0.058, 0.500, 0.736) x4
Y (0.141, 0.000, 0.467) x4
Cd (0.000, 0.000, 0.000) x2

=====

Record 6
Calculated powder diffractogram of Pr2YCd4 for copper Kα, from a structure optimized by DFT (PBE).
Lines closer than 0.1° are merged.

Top 12 peaks for 15° ≤ 2θ ≤ 90°, in order of rising 2θ:
- 2θ = 19.5°, d 4.542, rel. 2.4
- 2θ = 20.4°, d 4.353, rel. 12.3
- 2θ = 25.7°, d 3.461, rel. 1.7
- 2θ = 33.6°, d 2.666, rel. 100.0
- 2θ = 39.6°, d 2.274, rel. 5.2
- 2θ = 48.3°, d 1.885, rel. 17.7
- 2θ = 60.0°, d 1.542, rel. 9.0
- 2θ = 60.2°, d 1.538, rel. 26.9
- 2θ = 70.6°, d 1.334, rel. 5.5
- 2θ = 70.8°, d 1.331, rel. 5.5
- 2θ = 80.5°, d 1.193, rel. 7.6
- 2θ = 80.7°, d 1.191, rel. 7.6

Crystal structure
Cell: 5.3252 5.3252 26.1789 Å, 90.00 90.00 120.00°
Space group R-3m (No. 166, hexagonal axes)
Unique sites:
Pr (0.0000, 0.0000, 0.2489) x6
Y (0.0000, 0.0000, 0.0000) x3
Cd (0.0000, 0.0000, 0.1251) x6
Cd (0.0000, 0.0000, 0.3764) x6